Diffraction record for Na2HgMoO4. The XRD peak list is calculated, not measured: it uses a DFT-relaxed cell (PBE+U, Alexandria) and CuKα.

Crystal structure
a b c (Å): 10.751 3.079 8.057
angles (deg): 90.00 100.24 90.00
Fractional positions:
Na  0.238  0.000  0.302
Na  0.262  0.500  0.698
Na  0.738  0.500  0.302
Na  0.762  0.000  0.698
Hg  0.000  0.500  0.000
Hg  0.500  0.000  0.000
Mo  0.000  0.000  0.500
Mo  0.500  0.500  0.500
O  0.102  0.500  0.421
O  0.110  0.000  0.705
O  0.390  0.500  0.295
O  0.398  0.000  0.579
O  0.602  0.000  0.421
O  0.610  0.500  0.705
O  0.890  0.000  0.295
O  0.898  0.500  0.579

The 10 most intense peaks (2θ = 5–70°), most intense first:
| two_theta | I/Imax |
| --- | --- |
| 16.76 | 100.0 |
| 25.57 | 54.9 |
| 39.17 | 51.5 |
| 32.86 | 49.7 |
| 22.43 | 44.3 |
| 31.78 | 43.3 |
| 30.49 | 41.7 |
| 33.90 | 28.0 |
| 44.85 | 22.2 |
| 52.04 | 19.3 |